Entry 1:
# SrCd11Sn
Calculated XRD peak list, Cu Kα (weighted mean of Kα1 and Kα2). Input: a cell relaxed with PBE.

Structural model:
```
data_SrCd11Sn
_chemical_formula_sum 'Sr2 Cd22 Sn2'
_cell_length_a 6.1779
_cell_length_b 14.4488
_cell_length_c 7.7697
_cell_angle_alpha 90.00
_cell_angle_beta 112.79
_cell_angle_gamma 90.00
_symmetry_space_group_name_H-M 'C 1 2/m 1'
_symmetry_Int_Tables_number 12
_symmetry_space_group_name_Hall '-C 2y'
loop_
_atom_site_label
_atom_site_fract_x
_atom_site_fract_y
_atom_site_fract_z
_atom_site_occupancy
Sr1 0.0000 0.0000 0.0000 1
Cd1 0.0000 0.5000 0.5000 1
Cd2 0.0928 0.3921 0.2105 1
Cd3 0.1834 0.1799 0.3519 1
Cd4 0.2500 0.2500 0.0000 1
Sn1 0.0000 0.0000 0.5000 1
```

Principal peaks in the range 2θ from 10° to 80°, low angle first:
| d/Å | 2theta | I (rel.) | h k l |
| --- | --- | --- | --- |
| 2.983 | 29.96 | 25.7 | 1 3 1 |
| 2.963 | 30.16 | 24.1 | 1 3 -2 |
| 2.649 | 33.83 | 57.4 | 2 2 0 |
| 2.631 | 34.08 | 46.3 | 2 2 -2 |
| 2.575 | 34.84 | 62.3 | 1 5 0 |
| 2.569 | 34.93 | 30.4 | 1 1 2 |
| 2.545 | 35.27 | 100.0 | 0 4 2 |
| 2.349 | 38.32 | 72.9 | 2 4 -1 |
| 2.326 | 38.71 | 30.7 | 2 0 -3 |
| 2.282 | 39.49 | 39.2 | 0 6 1 |
| 2.267 | 39.76 | 30.4 | 0 2 3 |
| 1.544 | 59.89 | 23.3 | 4 0 -2 |


Entry 2:
# Tm6Sc2In3
Calculated XRD peak list, Cu Kα (weighted mean of Kα1 and Kα2). Input: a cell relaxed with PBE.

Structural model:
```
data_Tm6Sc2In3
_chemical_formula_sum 'Tm12 Sc4 In6'
_cell_length_a 5.3636
_cell_length_b 5.3636
_cell_length_c 22.2407
_cell_angle_alpha 90.00
_cell_angle_beta 90.00
_cell_angle_gamma 90.00
_symmetry_space_group_name_H-M 'I 4/m m m'
_symmetry_Int_Tables_number 139
_symmetry_space_group_name_Hall '-I 4 2'
loop_
_atom_site_label
_atom_site_fract_x
_atom_site_fract_y
_atom_site_fract_z
_atom_site_occupancy
Tm1 0.0000 0.0000 0.1945 1
Tm2 0.0000 0.5000 0.0929 1
Sc1 0.0000 0.0000 0.0556 1
In1 0.0000 0.0000 0.3315 1
In2 0.0000 0.0000 0.5000 1
```

Principal peaks in the range 2θ from 10° to 80°, low angle first:
| d/Å | 2theta | I (rel.) | h k l |
| --- | --- | --- | --- |
| 5.560 | 15.94 | 18.4 | 0 0 4 |
| 3.590 | 24.80 | 37.6 | 1 1 2 |
| 3.133 | 28.49 | 38.8 | 1 1 4 |
| 2.734 | 32.76 | 22.7 | 1 0 7 |
| 2.682 | 33.41 | 89.3 | 2 0 0 |
| 2.651 | 33.81 | 100.0 | 1 1 6 |
| 1.914 | 47.49 | 15.8 | 2 1 7 |
| 1.896 | 47.98 | 32.2 | 2 2 0 |
| 1.712 | 53.53 | 17.0 | 2 0 10 |
| 1.622 | 56.74 | 11.3 | 3 1 4 |
| 1.542 | 59.98 | 38.4 | 3 1 6 |
| 1.341 | 70.19 | 10.3 | 4 0 0 |


Entry 3:
# Ba8Bi4Br3
Calculated XRD peak list, Cu Kα (weighted mean of Kα1 and Kα2). Input: a cell relaxed with PBE.

Structural model:
```
data_Ba8Bi4Br3
_chemical_formula_sum 'Ba16 Bi8 Br6'
_cell_length_a 14.0948
_cell_length_b 14.3014
_cell_length_c 9.9041
_cell_angle_alpha 90.00
_cell_angle_beta 134.32
_cell_angle_gamma 90.00
_symmetry_space_group_name_H-M 'C 1 2/m 1'
_symmetry_Int_Tables_number 12
_symmetry_space_group_name_Hall '-C 2y'
loop_
_atom_site_label
_atom_site_fract_x
_atom_site_fract_y
_atom_site_fract_z
_atom_site_occupancy
Ba1 0.0000 0.2423 0.0000 1
Ba2 0.0000 0.2570 0.5000 1
Ba3 0.2475 0.0000 0.4820 1
Ba4 0.2501 0.0000 0.0039 1
Bi1 0.0000 0.0000 0.0000 1
Bi2 0.0000 0.5000 0.5000 1
Bi3 0.2500 0.2500 0.0000 1
Br1 0.0000 0.0000 0.5000 1
Br2 0.2500 0.2500 0.5000 1
```

Principal peaks in the range 2θ from 10° to 80°, low angle first:
| d/Å | 2theta | I (rel.) | h k l |
| --- | --- | --- | --- |
| 8.142 | 10.87 | 34.9 | 1 1 -1 |
| 3.575 | 24.90 | 84.4 | 0 4 0 |
| 3.543 | 25.14 | 82.6 | 0 0 2 |
| 3.523 | 25.28 | 81.7 | 4 0 -2 |
| 2.518 | 35.66 | 100.0 | 4 0 0 |
| 2.509 | 35.78 | 65.9 | 4 4 -2 |
| 2.476 | 36.28 | 31.5 | 4 0 -4 |
| 2.060 | 43.95 | 37.2 | 4 4 0 |
| 2.036 | 44.51 | 35.1 | 4 4 -4 |
| 1.595 | 57.81 | 40.5 | 4 0 2 |
| 1.588 | 58.10 | 24.2 | 8 0 -2 |
| 1.580 | 58.40 | 15.9 | 8 4 -4 |


Entry 4:
# AcGeF6
Calculated XRD peak list, Cu Kα (weighted mean of Kα1 and Kα2). Input: a cell relaxed with PBE.

Structural model:
```
data_AcGeF6
_chemical_formula_sum 'Ac3 Ge3 F18'
_cell_length_a 7.3053
_cell_length_b 7.3053
_cell_length_c 7.2361
_cell_angle_alpha 90.00
_cell_angle_beta 90.00
_cell_angle_gamma 120.00
_symmetry_space_group_name_H-M 'R -3 m'
_symmetry_Int_Tables_number 166
_symmetry_space_group_name_Hall '-R 3 2"'
loop_
_atom_site_label
_atom_site_fract_x
_atom_site_fract_y
_atom_site_fract_z
_atom_site_occupancy
Ac1 0.0000 0.0000 0.0000 1
Ge1 0.0000 0.0000 0.5000 1
F1 0.0910 0.5455 0.3464 1
```

Principal peaks in the range 2θ from 10° to 80°, low angle first:
| d/Å | 2theta | I (rel.) | h k l |
| --- | --- | --- | --- |
| 4.763 | 18.63 | 39.5 | 1 0 1 |
| 3.653 | 24.37 | 100.0 | 1 1 0 |
| 3.141 | 28.42 | 61.6 | 0 1 2 |
| 2.381 | 37.78 | 27.6 | 2 0 2 |
| 2.270 | 39.70 | 31.7 | 2 1 1 |
| 2.109 | 42.88 | 16.6 | 3 0 0 |
| 1.995 | 45.47 | 62.7 | 1 2 2 |
| 1.826 | 49.94 | 19.0 | 2 2 0 |
| 1.739 | 52.62 | 14.1 | 1 0 4 |
| 1.579 | 58.46 | 16.7 | 3 1 2 |
| 1.443 | 64.60 | 20.4 | 2 1 4 |
| 1.381 | 67.89 | 13.1 | 4 1 0 |